1.
Starting from a cell relaxed with PBE, the powder diffraction line list of HoTmPb was simulated for λ = 1.5418 Å (Cu Kα).
Lines closer than 0.1° are merged.

Crystal structure
```
3
Lattice="5.276 0.000 0.000 -2.638 4.569 0.000 0.000 0.000 3.674" Properties=species:S:1:pos:R:3 pbc="T T T"
Ho 0.000 0.000 0.000
Tm 0.000 3.046 1.967
Pb 2.638 1.523 1.077
```

Principal peaks in the range 5 to 70 degrees two-theta, most intense first:
2theta	d/Å	I (rel.)
31.24	2.863	100
33.98	2.638	88
59.11	1.563	33
46.82	1.940	33
53.78	1.704	23
60.81	1.523	17
65.16	1.432	13
42.17	2.143	10
24.22	3.674	7
66.45	1.407	3

2.
Starting from a cell relaxed with PBE, the powder diffraction line list of Ho3Tm4Pb4 was simulated for λ = 1.5418 Å (Cu Kα).
Lines closer than 0.1° are merged.

Crystal structure
```
11
Lattice="-2.059 4.676 8.548 2.059 -4.676 8.548 2.059 4.676 -8.548" Properties=species:S:1:pos:R:3 pbc="T T T"
Ho 0.000 0.000 0.000
Ho 2.059 0.000 6.706
Ho 0.000 4.676 1.842
Tm 2.059 1.815 -2.903
Tm 2.059 1.815 2.903
Tm 0.000 2.861 5.645
Tm 0.000 2.861 11.451
Pb 0.000 0.000 4.318
Pb 2.059 2.720 0.000
Pb 0.000 1.956 8.548
Pb 0.000 0.000 12.778
```

Principal peaks in the range 5 to 70 degrees two-theta, most intense first:
2theta	d/Å	I (rel.)
29.37	3.041	100
31.66	2.827	92
32.75	2.735	52
36.94	2.433	46
37.69	2.386	42
58.33	1.582	34
43.98	2.059	32
34.08	2.630	32
58.75	1.572	24
55.90	1.645	23

3.
Starting from a cell relaxed with PBE, the powder diffraction line list of Ho6Tm8Pb was simulated for λ = 1.5418 Å (Cu Kα).
Lines closer than 0.1° are merged.

Crystal structure
```
15
Lattice="9.108 0.000 0.000 -4.554 7.888 0.000 0.000 0.000 6.651" Properties=species:S:1:pos:R:3 pbc="T T T"
Ho -2.370 5.394 2.664
Ho 1.068 3.138 2.664
Ho 3.252 0.644 3.987
Ho 1.302 7.244 2.664
Ho 3.486 4.750 3.987
Ho 6.924 2.494 3.987
Tm -1.346 2.666 0.689
Tm -1.572 7.721 0.689
Tm 0.000 5.259 5.361
Tm 1.636 2.499 5.963
Tm 2.918 5.389 0.689
Tm 4.554 2.629 1.290
Tm 6.126 0.167 5.963
Tm 5.900 5.221 5.963
Pb 0.000 0.000 3.326
```

Principal peaks in the range 5 to 70 degrees two-theta, most intense first:
2theta	d/Å	I (rel.)
33.36	2.686	100
34.10	2.629	78
32.92	2.720	64
26.27	3.392	35
52.40	1.746	21
48.45	1.879	15
29.14	3.064	15
59.15	1.562	14
67.61	1.386	12
55.12	1.666	12

4.
Starting from a cell relaxed with PBE, the powder diffraction line list of HoTm3Pb4 was simulated for λ = 1.5418 Å (Cu Kα).
Lines closer than 0.1° are merged.

Crystal structure
```
16
Lattice="11.074 0.000 0.000 0.000 6.356 0.000 0.000 0.000 6.356" Properties=species:S:1:pos:R:3 pbc="T T T"
Ho 0.000 6.354 0.000
Ho 5.537 0.002 3.178
Tm 0.000 3.175 3.180
Tm 2.767 1.598 1.588
Tm 2.770 4.758 4.765
Tm 5.537 3.181 0.003
Tm 8.307 1.598 1.588
Tm 8.304 4.758 4.765
Pb 0.000 3.176 0.003
Pb 0.000 6.353 3.179
Pb 2.768 1.582 4.765
Pb 2.769 4.774 1.588
Pb 5.537 0.003 0.001
Pb 5.537 3.180 3.181
Pb 8.306 1.582 4.765
Pb 8.305 4.774 1.588
```

Principal peaks in the range 5 to 70 degrees two-theta, most intense first:
2theta	d/Å	I (rel.)
32.49	2.756	100
68.09	1.377	37
40.13	2.247	28
52.45	1.745	26
32.34	2.768	25
57.77	1.596	20
58.05	1.589	10
67.69	1.384	3
21.34	4.164	1

> What is the formula in the first record?

HoTmPb

> Which formula does entry 3 have?

Ho6Tm8Pb